Entry 1:
The following is a calculated X-ray diffraction stick pattern of Tb3Ga2Ni6. It was derived from the GGA-PBE geometry in OQMD, using copper Kα.

Crystal structure
```
data_Tb3Ga2Ni6
_cell_length_a 8.898
_cell_length_b 8.898
_cell_length_c 8.898
_cell_angle_alpha 90.00
_cell_angle_beta 90.00
_cell_angle_gamma 90.00
_space_group_name_H-M_alt 'I m -3 m'
_space_group_IT_number 229
_space_group_name_Hall '-I 4 2 3'
loop_
_atom_site_label
_atom_site_type_symbol
_atom_site_fract_x
_atom_site_fract_y
_atom_site_fract_z
Tb1 Tb 0.000 0.000 0.290
Ga1 Ga 0.250 0.250 0.250
Ni1 Ni 0.000 0.337 0.337
```

Main lines, low angle first (2θ = 10–90°):
Position (°2θ)  Rel. int.  index
24.50  20  2 1 1
31.80  37  3 1 0
34.93  45  2 2 2
37.83  26  3 2 1
40.55  27  4 0 0
43.13  100  3 3 0
56.66  19  5 2 1
64.56  17  5 3 2
70.15  20  6 2 2
79.08  27  6 3 3


Entry 2:
The following is a calculated X-ray diffraction stick pattern of Sc4Ta2Sn3C3. It was derived from the GGA-PBE geometry in OQMD, using copper Kα.

Crystal structure
```
data_Sc4Ta2Sn3C3
_cell_length_a 9.949
_cell_length_b 5.762
_cell_length_c 14.765
_cell_angle_alpha 90.00
_cell_angle_beta 103.19
_cell_angle_gamma 90.00
_space_group_name_H-M_alt 'C 1 2/c 1'
_space_group_IT_number 15
_space_group_name_Hall '-C 2yc'
loop_
_atom_site_label
_atom_site_type_symbol
_atom_site_fract_x
_atom_site_fract_y
_atom_site_fract_z
Sc1 Sc 0.112 0.075 0.086
Sc2 Sc 0.217 0.088 0.414
Ta1 Ta 0.062 0.413 0.924
Sn1 Sn 0.000 0.103 0.750
Sn2 Sn 0.158 0.425 0.248
C1 C 0.079 0.264 0.500
C2 C 0.250 0.250 0.000
```

Main lines, low angle first (2θ = 10–90°):
Position (°2θ)  Rel. int.  index
17.91  24  1 1 0
18.29  16  2 0 0
31.09  33  3 1 -1
36.39  100  0 2 3
36.51  48  3 1 2
37.54  29  0 0 6
49.46  15  3 1 -7
55.27  20  3 3 -1
66.96  16  0 2 9
68.78  14  6 0 -8


Entry 3:
The following is a calculated X-ray diffraction stick pattern of Er3Si2Ge2Au4. It was derived from the GGA-PBE geometry in OQMD, using copper Kα.

Crystal structure
```
data_Er3Si2Ge2Au4
_cell_length_a 4.274
_cell_length_b 6.970
_cell_length_c 14.405
_cell_angle_alpha 90.00
_cell_angle_beta 90.00
_cell_angle_gamma 90.00
_space_group_name_H-M_alt 'I m m m'
_space_group_IT_number 71
_space_group_name_Hall '-I 2 2'
loop_
_atom_site_label
_atom_site_type_symbol
_atom_site_fract_x
_atom_site_fract_y
_atom_site_fract_z
Er1 Er 0.000 0.000 0.000
Er2 Er 0.000 0.500 0.125
Si1 Si 0.000 0.000 0.216
Ge1 Ge 0.000 0.187 0.500
Au1 Au 0.000 0.297 0.328
```

Main lines, low angle first (2θ = 10–90°):
Position (°2θ)  Rel. int.  index
27.43  22  1 1 2
27.95  34  1 0 3
33.77  100  1 2 1
35.03  61  1 1 4
37.46  32  0 0 6
37.65  25  1 0 5
38.23  44  1 2 3
42.30  44  2 0 0
43.26  47  0 3 3
62.10  32  2 3 3


Entry 4:
The following is a calculated X-ray diffraction stick pattern of CsHg. It was derived from the GGA-PBE geometry in OQMD, using copper Kα.

Crystal structure
```
data_CsHg
_cell_length_a 13.870
_cell_length_b 5.470
_cell_length_c 5.373
_cell_angle_alpha 90.00
_cell_angle_beta 90.37
_cell_angle_gamma 90.00
_space_group_name_H-M_alt 'C 1 2/m 1'
_space_group_IT_number 12
_space_group_name_Hall '-C 2y'
loop_
_atom_site_label
_atom_site_type_symbol
_atom_site_fract_x
_atom_site_fract_y
_atom_site_fract_z
Cs1 Cs 0.144 0.000 0.251
Hg1 Hg 0.059 0.500 0.751
```

Main lines, low angle first (2θ = 10–90°):
Position (°2θ)  Rel. int.  index
12.77  45  2 0 0
17.43  37  1 1 0
24.09  100  1 1 1
25.22  64  3 1 0
30.22  50  3 1 -1
30.36  49  3 1 1
30.60  30  4 0 -1
30.78  30  4 0 1
32.75  41  0 2 0
33.35  39  0 0 2


Entry 5:
The following is a calculated X-ray diffraction stick pattern of NaMoAu3Se4. It was derived from the GGA-PBE geometry in OQMD, using copper Kα.

Crystal structure
```
data_NaMoAu3Se4
_cell_length_a 6.294
_cell_length_b 6.294
_cell_length_c 6.294
_cell_angle_alpha 90.00
_cell_angle_beta 90.00
_cell_angle_gamma 90.00
_space_group_name_H-M_alt 'P -4 3 m'
_space_group_IT_number 215
_space_group_name_Hall 'P -4 2 3'
loop_
_atom_site_label
_atom_site_type_symbol
_atom_site_fract_x
_atom_site_fract_y
_atom_site_fract_z
Na1 Na 0.000 0.000 0.000
Mo1 Mo 0.500 0.500 0.500
Au1 Au 0.000 0.500 0.500
Se1 Se 0.272 0.272 0.272
```

Main lines, low angle first (2θ = 10–90°):
Position (°2θ)  Rel. int.  index
14.07  65  1 0 0
24.50  88  1 1 1
28.36  21  2 0 0
31.79  20  2 1 0
40.54  100  2 2 0
43.12  17  2 2 1
47.94  43  3 1 1
58.67  16  4 0 0
64.54  17  3 3 1
73.75  32  4 2 2


Entry 6:
The following is a calculated X-ray diffraction stick pattern of Li2AgBi. It was derived from the GGA-PBE geometry in OQMD, using copper Kα.

Crystal structure
```
data_Li2AgBi
_cell_length_a 4.787
_cell_length_b 4.787
_cell_length_c 6.765
_cell_angle_alpha 90.00
_cell_angle_beta 90.00
_cell_angle_gamma 90.00
_space_group_name_H-M_alt 'P -4 m 2'
_space_group_IT_number 115
_space_group_name_Hall 'P -4 -2'
loop_
_atom_site_label
_atom_site_type_symbol
_atom_site_fract_x
_atom_site_fract_y
_atom_site_fract_z
Li1 Li 0.000 0.000 0.000
Li2 Li 0.000 0.500 0.249
Li3 Li 0.500 0.500 0.500
Ag1 Ag 0.000 0.500 0.750
Bi1 Bi 0.000 0.000 0.500
Bi2 Bi 0.500 0.500 0.000
```

Main lines, low angle first (2θ = 10–90°):
Position (°2θ)  Rel. int.  index
22.76  100  1 0 1
26.33  9  1 1 0
37.59  88  2 0 0
44.39  53  2 1 1
54.21  15  2 2 0
59.53  22  3 0 1
67.83  31  3 1 2
72.57  17  3 2 1
80.23  10  4 0 0
84.73  18  4 1 1


Entry 7:
The following is a calculated X-ray diffraction stick pattern of ZnAu17. It was derived from the GGA-PBE geometry in OQMD, using copper Kα.

Crystal structure
```
data_ZnAu17
_cell_length_a 5.7803
_cell_length_b 5.7803
_cell_length_c 35.3780
_cell_angle_alpha 90.00
_cell_angle_beta 90.00
_cell_angle_gamma 120.00
_space_group_name_H-M_alt 'P -3 m 1'
_space_group_IT_number 164
_space_group_name_Hall '-P 3 2"'
loop_
_atom_site_label
_atom_site_type_symbol
_atom_site_fract_x
_atom_site_fract_y
_atom_site_fract_z
Zn1 Zn 0.3333 0.6667 0.2774
Au1 Au 0.0000 0.0000 0.0000
Au2 Au 0.0000 0.0000 0.2083
Au3 Au 0.0000 0.5000 0.0000
Au4 Au 0.0016 0.5008 0.2093
Au5 Au 0.1663 0.3326 0.7205
Au6 Au 0.1666 0.3333 0.9304
Au7 Au 0.1668 0.3336 0.1394
Au8 Au 0.3333 0.6667 0.0697
Au9 Au 0.3333 0.6667 0.8607
```

Main lines, low angle first (2θ = 10–90°):
Position (°2θ)  Rel. int.  index
35.53  31  0 0 14
37.34  43  2 0 4
38.14  100  2 0 5
42.83  44  0 2 9
44.33  46  0 2 10
62.13  21  2 0 19
64.50  36  2 2 0
74.74  13  0 2 24
75.84  21  2 2 14
77.46  26  0 4 5


Entry 8:
The following is a calculated X-ray diffraction stick pattern of Cs2HgCl4. It was derived from the GGA-PBE geometry in OQMD, using copper Kα.

Crystal structure
```
data_Cs2HgCl4
_cell_length_a 9.871
_cell_length_b 7.546
_cell_length_c 27.415
_cell_angle_alpha 90.00
_cell_angle_beta 90.38
_cell_angle_gamma 90.00
_space_group_name_H-M_alt 'P 1 21/c 1'
_space_group_IT_number 14
_space_group_name_Hall '-P 2ybc'
loop_
_atom_site_label
_atom_site_type_symbol
_atom_site_fract_x
_atom_site_fract_y
_atom_site_fract_z
Cs1 Cs 0.009 0.245 0.156
Cs2 Cs 0.122 0.730 0.059
Cs3 Cs 0.382 0.247 0.289
Cs4 Cs 0.483 0.713 0.414
Hg1 Hg 0.206 0.731 0.214
Hg2 Hg 0.282 0.222 0.460
Cl1 Cl 0.038 0.155 0.282
Cl2 Cl 0.172 0.575 0.941
Cl3 Cl 0.176 0.194 0.041
Cl4 Cl 0.196 0.077 0.892
Cl5 Cl 0.304 0.509 0.670
Cl6 Cl 0.322 0.024 0.668
Cl7 Cl 0.332 0.748 0.796
Cl8 Cl 0.465 0.736 0.042
```

Main lines, low angle first (2θ = 10–90°):
Position (°2θ)  Rel. int.  index
15.72  24  1 0 -4
16.13  49  1 1 -2
19.67  28  1 1 -4
21.51  29  2 1 0
22.49  55  2 1 2
22.75  100  0 1 6
23.58  86  0 2 0
30.02  24  3 0 -4
30.28  48  3 1 -2
30.53  27  2 2 2


Entry 9:
The following is a calculated X-ray diffraction stick pattern of NbO4. It was derived from the GGA-PBE geometry in OQMD, using copper Kα.

Crystal structure
```
data_NbO4
_cell_length_a 5.051
_cell_length_b 5.245
_cell_length_c 5.070
_cell_angle_alpha 90.00
_cell_angle_beta 109.35
_cell_angle_gamma 90.00
_space_group_name_H-M_alt 'P 1 2/c 1'
_space_group_IT_number 13
_space_group_name_Hall '-P 2yc'
loop_
_atom_site_label
_atom_site_type_symbol
_atom_site_fract_x
_atom_site_fract_y
_atom_site_fract_z
Nb1 Nb 0.000 0.157 0.250
O1 O 0.145 0.496 0.559
O2 O 0.251 0.039 0.040
```

Main lines, low angle first (2θ = 10–90°):
Position (°2θ)  Rel. int.  index
16.90  24  0 1 0
18.62  100  1 0 0
25.20  52  0 1 1
27.49  28  1 1 -1
35.12  21  1 1 1
39.18  18  0 2 1
40.08  21  2 1 -1
46.50  13  1 2 1
47.32  10  2 1 -2
50.54  13  2 2 -1


Entry 10:
The following is a calculated X-ray diffraction stick pattern of La2Nd2CI2Br3. It was derived from the GGA-PBE geometry in OQMD, using copper Kα.

Crystal structure
```
data_La2Nd2CI2Br3
_cell_length_a 19.203
_cell_length_b 4.064
_cell_length_c 8.615
_cell_angle_alpha 90.00
_cell_angle_beta 102.73
_cell_angle_gamma 90.00
_space_group_name_H-M_alt 'C 1 2/m 1'
_space_group_IT_number 12
_space_group_name_Hall '-C 2y'
loop_
_atom_site_label
_atom_site_type_symbol
_atom_site_fract_x
_atom_site_fract_y
_atom_site_fract_z
La1 La 0.000 0.000 0.207
Nd1 Nd 0.135 0.500 0.072
C1 C 0.000 0.500 0.000
I1 I 0.174 0.000 0.816
Br1 Br 0.000 0.500 0.500
Br2 Br 0.161 0.000 0.332
```

Main lines, low angle first (2θ = 10–90°):
Position (°2θ)  Rel. int.  index
10.53  44  0 0 1
28.59  43  6 0 0
29.46  14  3 1 1
30.23  100  1 1 -2
31.72  14  6 0 -2
32.51  38  5 1 0
42.00  44  2 0 -4
42.16  24  7 1 -2
44.59  19  0 2 0
53.82  15  6 2 0